The following is a calculated XRD peak list of Te6Mo3WS2. It was derived from a structure optimized by DFT (GGA-PBE), using copper Kα.
Kinematic intensities with the Lorentz-polarization factor, no thermal factor.

Principal peaks in the range 2θ = 10–90°, sorted by position:
11.3 deg, intensity 83.0; 29.9 deg, intensity 53.9; 32.0 deg, intensity 12.2; 35.1 deg, intensity 100.0; 37.8 deg, intensity 22.4; 42.5 deg, intensity 55.1; 44.2 deg, intensity 14.8; 53.0 deg, intensity 34.5; 65.2 deg, intensity 16.1; 70.2 deg, intensity 12.2; 74.8 deg, intensity 17.7; 88.8 deg, intensity 14.5

Structure:
Cell lengths 3.456, 3.456, 39.285 Å; angles 90.00, 90.00, 120.00 degrees
Positions (direct):
Te  0.000  0.000  0.000
Te  0.000  0.000  0.094
Te  0.000  0.000  0.376
Te  0.000  0.000  0.470
Te  0.667  0.333  0.563
Te  0.667  0.333  0.658
Mo  0.000  0.000  0.235
Mo  0.667  0.333  0.047
Mo  0.667  0.333  0.423
W  0.000  0.000  0.611
S  0.667  0.333  0.197
S  0.667  0.333  0.273